Cs2BeV2: calculated powder diffraction line list (a wavelength of 1.5418 Å), based on a PBE-relaxed structure.
No peak broadening, texture or thermal motion is included.

Crystal structure
Cell lengths 12.7033, 12.7033, 12.7033 Å; angles 164.52, 164.52, 21.97 degrees
Element x y z (fractional)
Cs1 0.1063 0.1063 0.0000
Cs2 0.8937 0.8937 0.0000
Be1 0.5000 0.5000 0.0000
V1 0.2500 0.7500 0.5000
V2 0.7500 0.2500 0.5000

Most intense lines, 2θ = 5–70°, by intensity:
- d = 2.822 Å, I = 100
- d = 3.391 Å, I = 93
- d = 2.256 Å, I = 82
- d = 4.157 Å, I = 70
- d = 1.737 Å, I = 40
- d = 2.154 Å, I = 40
- d = 6.235 Å, I = 35
- d = 3.118 Å, I = 33
- d = 3.165 Å, I = 27
- d = 1.463 Å, I = 27